# 1
This entry pairs a crystal structure of La2Nd2Se3N4 with its simulated powder diffraction line list. Radiation: Cu Kα (weighted mean of Kα1 and Kα2). Structure: DFT lattice parameters and positions (GGA-PBE).

Structural model:
Lattice parameters (Å, degrees): 8.149 4.133 13.792 90.00 90.00 90.00
Space group Amm2 (No. 38)
Asymmetric unit:
La 0.000 0.000 0.000
La 0.500 0.000 0.011
Nd 0.258 0.000 0.330
Se 0.173 0.000 0.656
Se 0.500 0.000 0.693
N 0.000 0.000 0.406
N 0.255 0.000 0.917
N 0.500 0.000 0.424

The 10 most intense peaks (10 to 80 degrees two-theta), sorted by position:
hkl 2 0 2, 2θ 25.4, I 48.3; hkl 0 1 3, 2θ 29.1, I 100.0; hkl 2 1 1, 2θ 31.5, I 50.8; hkl 2 0 4, 2θ 34.1, I 29.1; hkl 0 0 6, 2θ 39.2, I 17.1; hkl 0 2 0, 2θ 43.8, I 19.0; hkl 2 1 5, 2θ 45.4, I 23.5; hkl 2 2 2, 2θ 51.3, I 15.4; hkl 4 1 3, 2θ 54.0, I 18.5; hkl 2 1 7, 2θ 56.5, I 16.4

---

# 2
This entry pairs a crystal structure of Gd5In3 with its simulated powder diffraction line list. Radiation: Cu Kα (weighted mean of Kα1 and Kα2). Structure: DFT lattice parameters and positions (GGA-PBE).

Structural model:
Lattice parameters (Å, degrees): 12.371 12.371 6.028 90.00 90.00 90.00
Space group I4/mcm (No. 140)
Asymmetric unit:
Gd 0.000 0.500 0.250
Gd 0.083 0.220 0.000
In 0.000 0.000 0.250
In 0.162 0.338 0.500

The 10 most intense peaks (10 to 80 degrees two-theta), sorted by position:
hkl 0 0 2, 2θ 29.6, I 20.7; hkl 3 2 1, 2θ 30.0, I 61.3; hkl 4 2 0, 2θ 32.4, I 67.9; hkl 2 0 2, 2θ 33.1, I 47.6; hkl 4 1 1, 2θ 33.4, I 100.0; hkl 2 2 2, 2θ 36.2, I 37.9; hkl 3 2 3, 2θ 52.8, I 19.6; hkl 4 1 3, 2θ 55.0, I 23.8; hkl 5 5 2, 2θ 61.3, I 18.5; hkl 6 4 2, 2θ 62.3, I 18.9

---

# 3
This entry pairs a crystal structure of TlAg3Sb7Au3S6 with its simulated powder diffraction line list. Radiation: Cu Kα (weighted mean of Kα1 and Kα2). Structure: DFT lattice parameters and positions (GGA-PBE).

Structural model:
Lattice parameters (Å, degrees): 6.308 7.839 20.905 90.49 91.42 90.43
Space group P1 (No. 1)
Asymmetric unit:
Tl 0.000 0.000 0.000
Tl 0.257 0.526 0.027
Ag 0.106 0.425 0.438
Ag 0.135 0.440 0.731
Ag 0.155 0.354 0.156
Ag 0.598 0.888 0.152
Ag 0.614 0.962 0.453
Ag 0.643 0.955 0.741
Sb 0.012 0.517 0.854
Sb 0.197 0.002 0.186
Sb 0.208 0.058 0.480
Sb 0.240 0.057 0.770
Sb 0.459 0.819 0.341
Sb 0.476 0.044 0.034
Sb 0.490 0.834 0.626
Sb 0.517 0.808 0.919
Sb 0.694 0.333 0.410
Sb 0.718 0.304 0.163
Sb 0.722 0.339 0.702
Sb 0.743 0.340 0.014
Sb 0.953 0.544 0.261
Sb 0.977 0.559 0.553
Au 0.064 0.915 0.304
Au 0.094 0.931 0.594
Au 0.123 0.861 0.873
Au 0.555 0.471 0.299
Au 0.586 0.463 0.587
Au 0.617 0.435 0.885
S 0.009 0.856 0.706
S 0.190 0.348 0.323
S 0.214 0.370 0.616
S 0.263 0.321 0.907
S 0.470 0.554 0.180
S 0.476 0.529 0.473
S 0.509 0.534 0.765
S 0.691 0.990 0.272
S 0.722 0.032 0.567
S 0.761 0.991 0.856
S 0.968 0.813 0.121
S 0.976 0.857 0.418

The 10 most intense peaks (10 to 80 degrees two-theta), sorted by position:
hkl 1 1 3, 2θ 22.5, I 26.8; hkl 0 2 0, 2θ 22.7, I 100.0; hkl 2 0 0, 2θ 28.3, I 53.5; hkl 0 2 4, 2θ 28.6, I 34.7; hkl 0 0 7, 2θ 29.9, I 60.9; hkl 2 0 3, 2θ 31.5, I 26.7; hkl 1 0 -7, 2θ 32.9, I 34.0; hkl 2 2 0, 2θ 36.7, I 28.1; hkl 1 -3 3, 2θ 39.4, I 29.1; hkl 1 -1 10, 2θ 47.5, I 35.5

---

# 4
This entry pairs a crystal structure of Ho3Te4 with its simulated powder diffraction line list. Radiation: Cu Kα (weighted mean of Kα1 and Kα2). Structure: DFT lattice parameters and positions (GGA-PBE).

Structural model:
Lattice parameters (Å, degrees): 7.225 14.933 4.335 90.00 90.00 90.00
Space group Pbam (No. 55)
Asymmetric unit:
Ho 0.000 0.000 0.000
Ho 0.009 0.249 0.500
Te 0.240 0.664 0.000
Te 0.242 0.916 0.500

The 10 most intense peaks (10 to 80 degrees two-theta), sorted by position:
hkl 1 1 0, 2θ 13.6, I 16.3; hkl 1 2 1, 2θ 26.8, I 66.5; hkl 2 4 0, 2θ 34.5, I 100.0; hkl 0 0 2, 2θ 41.7, I 18.3; hkl 0 6 1, 2θ 41.9, I 35.2; hkl 3 2 1, 2θ 44.7, I 16.1; hkl 4 0 0, 2θ 50.5, I 13.9; hkl 2 4 2, 2θ 55.2, I 18.1; hkl 4 0 2, 2θ 67.5, I 12.0; hkl 4 6 1, 2θ 67.6, I 19.0

---

# 5
This entry pairs a crystal structure of GdAsN2O with its simulated powder diffraction line list. Radiation: Cu Kα (weighted mean of Kα1 and Kα2). Structure: DFT lattice parameters and positions (GGA-PBE).

Structural model:
Lattice parameters (Å, degrees): 8.377 6.834 10.746 90.00 129.11 90.00
Space group P2_1/c (No. 14)
Asymmetric unit:
Gd 0.148 0.003 0.200
Gd 0.149 0.002 0.699
As 0.299 0.750 0.009
As 0.380 0.250 0.085
N 0.227 0.033 0.480
N 0.229 0.033 0.977
N 0.382 0.748 0.878
N 0.429 0.250 0.280
O 0.037 0.749 0.787
O 0.079 0.748 0.535

The 10 most intense peaks (10 to 80 degrees two-theta), sorted by position:
hkl 1 0 0, 2θ 13.6, I 49.7; hkl 1 2 0, 2θ 29.5, I 80.9; hkl 1 0 2, 2θ 32.0, I 67.0; hkl 3 0 -2, 2θ 32.4, I 77.2; hkl 2 0 -4, 2θ 33.4, I 86.5; hkl 0 2 2, 2θ 33.9, I 89.7; hkl 2 2 -2, 2θ 34.1, I 100.0; hkl 1 2 -4, 2θ 45.0, I 31.7; hkl 3 2 -4, 2θ 45.3, I 33.6; hkl 3 2 0, 2θ 49.8, I 51.6

---

# 6
This entry pairs a crystal structure of Tm3Ni4B4C3 with its simulated powder diffraction line list. Radiation: Cu Kα (weighted mean of Kα1 and Kα2). Structure: DFT lattice parameters and positions (GGA-PBE).

Structural model:
Lattice parameters (Å, degrees): 3.518 3.518 25.493 90.00 90.00 90.00
Space group I4/mmm (No. 139)
Asymmetric unit:
Tm 0.000 0.000 0.000
Tm 0.000 0.000 0.298
Ni 0.000 0.500 0.101
B 0.000 0.000 0.146
B 0.000 0.000 0.441
C 0.000 0.000 0.205
C 0.000 0.000 0.500

The 10 most intense peaks (10 to 80 degrees two-theta), sorted by position:
hkl 1 0 3, 2θ 27.4, I 100.0; hkl 0 0 10, 2θ 35.2, I 53.3; hkl 1 0 7, 2θ 35.5, I 73.3; hkl 1 1 4, 2θ 38.9, I 71.6; hkl 1 1 6, 2θ 42.1, I 48.9; hkl 2 0 0, 2θ 52.0, I 39.7; hkl 2 1 3, 2θ 59.8, I 24.9; hkl 1 1 14, 2θ 63.3, I 21.6; hkl 2 0 10, 2θ 64.3, I 35.6; hkl 2 1 7, 2θ 64.5, I 26.3

---

# 7
This entry pairs a crystal structure of TbDyTeC with its simulated powder diffraction line list. Radiation: Cu Kα (weighted mean of Kα1 and Kα2). Structure: DFT lattice parameters and positions (GGA-PBE).

Structural model:
Lattice parameters (Å, degrees): 3.8445 3.8445 14.0845 90.00 90.00 120.00
Space group P-3m1 (No. 164)
Asymmetric unit:
Tb 0.3333 0.6667 0.0940
Dy 0.3333 0.6667 0.4069
Te 0.3333 0.6667 0.7491
C 0.0000 0.0000 0.0000
C 0.0000 0.0000 0.5000

The 10 most intense peaks (10 to 80 degrees two-theta), sorted by position:
hkl 1 0 0, 2θ 26.8, I 26.3; hkl 1 0 3, 2θ 33.0, I 100.0; hkl 0 0 6, 2θ 38.3, I 12.9; hkl 1 1 0, 2θ 47.3, I 38.3; hkl 2 0 0, 2θ 55.2, I 3.7; hkl 2 0 3, 2θ 58.9, I 19.0; hkl 1 1 6, 2θ 62.4, I 18.8; hkl 1 0 9, 2θ 66.0, I 10.8; hkl 2 0 6, 2θ 69.2, I 3.9; hkl 2 1 3, 2θ 78.7, I 16.3

---

# 8
This entry pairs a crystal structure of La3Zn11 with its simulated powder diffraction line list. Radiation: Cu Kα (weighted mean of Kα1 and Kα2). Structure: DFT lattice parameters and positions (GGA-PBE).

Structural model:
Lattice parameters (Å, degrees): 4.510 8.995 13.429 90.00 90.00 90.00
Space group Immm (No. 71)
Asymmetric unit:
La 0.000 0.000 0.000
La 0.000 0.000 0.300
Zn 0.000 0.192 0.500
Zn 0.000 0.281 0.138
Zn 0.000 0.359 0.340
Zn 0.000 0.500 0.000

The 10 most intense peaks (10 to 80 degrees two-theta), sorted by position:
hkl 1 0 3, 2θ 28.1, I 17.9; hkl 0 2 4, 2θ 33.3, I 24.7; hkl 1 2 3, 2θ 34.6, I 100.0; hkl 1 1 4, 2θ 34.8, I 30.2; hkl 1 3 0, 2θ 36.0, I 59.1; hkl 1 3 2, 2θ 38.5, I 25.8; hkl 2 0 0, 2θ 40.0, I 47.6; hkl 0 0 6, 2θ 40.3, I 23.4; hkl 2 3 3, 2θ 54.9, I 22.1; hkl 1 4 7, 2θ 67.4, I 17.6

---

# 9
This entry pairs a crystal structure of TlMo2N with its simulated powder diffraction line list. Radiation: Cu Kα (weighted mean of Kα1 and Kα2). Structure: DFT lattice parameters and positions (GGA-PBE).

Structural model:
Lattice parameters (Å, degrees): 3.2690 3.2690 13.3743 90.00 90.00 120.00
Space group P6_3/mmc (No. 194)
Asymmetric unit:
Tl 0.3333 0.6667 0.2500
Mo 0.3333 0.6667 0.5728
N 0.0000 0.0000 0.0000

The 10 most intense peaks (10 to 80 degrees two-theta), sorted by position:
hkl 0 0 4, 2θ 26.7, I 9.4; hkl 1 0 0, 2θ 31.6, I 23.5; hkl 1 0 1, 2θ 32.3, I 12.3; hkl 1 0 3, 2θ 37.6, I 100.0; hkl 0 0 6, 2θ 40.5, I 16.0; hkl 1 0 6, 2θ 52.2, I 13.6; hkl 1 1 0, 2θ 56.3, I 22.1; hkl 2 0 3, 2θ 69.7, I 16.3; hkl 1 1 6, 2θ 71.6, I 18.0; hkl 1 0 9, 2θ 71.7, I 12.9

---

# 10
This entry pairs a crystal structure of RbYZr with its simulated powder diffraction line list. Radiation: Cu Kα (weighted mean of Kα1 and Kα2). Structure: DFT lattice parameters and positions (GGA-PBE).

Structural model:
Lattice parameters (Å, degrees): 8.150 8.150 8.150 90.00 90.00 90.00
Space group F-43m (No. 216)
Asymmetric unit:
Rb 0.000 0.000 0.000
Y 0.250 0.250 0.250
Zr 0.000 0.000 0.500

The 10 most intense peaks (10 to 80 degrees two-theta), sorted by position:
hkl 1 1 1, 2θ 18.9, I 26.7; hkl 2 0 0, 2θ 21.8, I 13.2; hkl 2 2 0, 2θ 31.0, I 100.0; hkl 3 1 1, 2θ 36.6, I 14.4; hkl 4 0 0, 2θ 44.5, I 18.0; hkl 3 3 1, 2θ 48.7, I 6.2; hkl 4 2 0, 2θ 50.0, I 5.5; hkl 4 2 2, 2θ 55.2, I 37.5; hkl 4 4 0, 2θ 64.7, I 11.5; hkl 6 2 0, 2θ 73.5, I 15.7

---

# 11
This entry pairs a crystal structure of PrTmNO with its simulated powder diffraction line list. Radiation: Cu Kα (weighted mean of Kα1 and Kα2). Structure: DFT lattice parameters and positions (GGA-PBE).

Structural model:
Lattice parameters (Å, degrees): 6.760 8.255 5.103 90.00 90.00 90.00
Space group Pca2_1 (No. 29)
Asymmetric unit:
Pr 0.077 0.131 0.000
Tm 0.077 0.619 0.999
N 0.058 0.141 0.499
O 0.100 0.609 0.505

The 10 most intense peaks (10 to 80 degrees two-theta), sorted by position:
hkl 1 2 0, 2θ 25.3, I 34.7; hkl 2 0 0, 2θ 26.4, I 22.7; hkl 1 2 1, 2θ 30.8, I 100.0; hkl 2 0 1, 2θ 31.8, I 40.1; hkl 0 0 2, 2θ 35.2, I 34.0; hkl 0 4 0, 2θ 43.8, I 32.8; hkl 3 2 0, 2θ 45.9, I 30.4; hkl 2 4 1, 2θ 55.2, I 17.5; hkl 0 4 2, 2θ 57.4, I 25.7; hkl 3 2 2, 2θ 59.1, I 28.1

---

# 12
This entry pairs a crystal structure of SrHoNO with its simulated powder diffraction line list. Radiation: Cu Kα (weighted mean of Kα1 and Kα2). Structure: DFT lattice parameters and positions (GGA-PBE).

Structural model:
Lattice parameters (Å, degrees): 4.088 7.194 5.014 90.00 90.00 90.00
Space group Pmc2_1 (No. 26)
Asymmetric unit:
Sr 0.000 0.166 0.000
Ho 0.500 0.346 0.507
N 0.500 0.352 0.976
O 0.000 0.197 0.495

The 10 most intense peaks (10 to 80 degrees two-theta), sorted by position:
hkl 0 2 0, 2θ 24.8, I 19.0; hkl 1 1 0, 2θ 25.1, I 58.1; hkl 0 2 1, 2θ 30.6, I 63.7; hkl 1 1 1, 2θ 30.8, I 100.0; hkl 0 0 2, 2θ 35.8, I 39.2; hkl 1 3 0, 2θ 43.8, I 42.0; hkl 1 1 2, 2θ 44.2, I 24.4; hkl 2 0 0, 2θ 44.3, I 21.4; hkl 2 2 1, 2θ 54.8, I 25.9; hkl 1 3 2, 2θ 57.8, I 35.7